1.
# Nd2Y12Er5
Computed powder diffraction line list, λ = 1.5418 Å (Cu Kα). Input: a GGA-PBE-relaxed structure.
No peak broadening, texture or thermal motion is included.

Peak list (6 most intense, 10° ≤ 2θ ≤ 90°, low angle first)
d (Å)  2θ/deg  I/Imax
2.889  30.95  51
2.805  31.91  66
2.789  32.09  100
2.762  32.42  62
2.739  32.70  58
1.616  56.97  21

Structural model:
a b c (Å): 6.5451 8.6758 11.7760
angles (deg): 88.88 87.44 67.85
Fractional positions:
Nd: 0.0000 0.0000 0.0000
Nd: 0.4421 0.1145 0.9992
Y: 0.0631 0.3045 0.2279
Y: 0.0721 0.4928 0.8828
Y: 0.2852 0.6783 0.6228
Y: 0.3466 0.3020 0.4993
Y: 0.4144 0.5007 0.1182
Y: 0.4708 0.7107 0.8792
Y: 0.5472 0.9063 0.4987
Y: 0.6243 0.3040 0.7702
Y: 0.6662 0.1014 0.2600
Y: 0.8018 0.7139 0.1194
Y: 0.8102 0.8895 0.7609
Y: 0.9459 0.1050 0.4991
Er: 0.0336 0.6738 0.3736
Er: 0.2243 0.1004 0.7383
Er: 0.2876 0.8924 0.2411
Er: 0.6053 0.5318 0.3762
Er: 0.8593 0.5287 0.6213

=====

2.
# LiPr2SnPd6
Computed powder diffraction line list, λ = 1.5418 Å (Cu Kα). Input: a GGA-PBE-relaxed structure.
No peak broadening, texture or thermal motion is included.

Peak list (6 most intense, 10° ≤ 2θ ≤ 90°, low angle first)
d (Å)  2θ/deg  I/Imax
2.523  35.58  49
2.513  35.73  62
2.386  37.70  98
2.275  39.62  100
2.231  40.43  63
2.170  41.62  57

Structural model:
a b c (Å): 5.6017 6.5177 6.6987
angles (deg): 72.02 65.34 64.62
Fractional positions:
Li: 0.0000 0.0000 0.0000
Pr: 0.4994 0.2463 0.7564
Pr: 0.5006 0.7537 0.2436
Sn: 0.0000 0.5000 0.5000
Pd: 0.0031 0.8085 0.6948
Pd: 0.1826 0.5765 0.0591
Pd: 0.4936 0.8083 0.6946
Pd: 0.5064 0.1917 0.3054
Pd: 0.8174 0.4235 0.9409
Pd: 0.9969 0.1915 0.3052

=====

3.
# La3Nd2Ir3
Computed powder diffraction line list, λ = 1.5418 Å (Cu Kα). Input: a GGA-PBE-relaxed structure.
No peak broadening, texture or thermal motion is included.

Peak list (6 most intense, 10° ≤ 2θ ≤ 90°, low angle first)
d (Å)  2θ/deg  I/Imax
6.638  13.34  59
5.264  16.84  86
2.867  31.20  100
2.716  32.98  38
2.702  33.15  34
2.295  39.25  34

Structural model:
a b c (Å): 7.2307 7.2307 14.0685
angles (deg): 90.28 90.28 46.72
Fractional positions:
La: 0.0000 0.0000 0.0000
La: 0.9998 0.9998 0.2654
La: 0.2002 0.2002 0.6331
La: 0.6169 0.6169 0.8125
La: 0.6981 0.6981 0.1344
La: 0.8980 0.8980 0.5030
Nd: 0.2747 0.2747 0.3165
Nd: 0.2756 0.2756 0.9500
Nd: 0.6224 0.6224 0.4473
Nd: 0.8920 0.8920 0.7678
Ir: 0.0973 0.0973 0.4426
Ir: 0.0984 0.0984 0.8222
Ir: 0.1599 0.1599 0.1334
Ir: 0.7346 0.7346 0.6296
Ir: 0.7980 0.7980 0.9448
Ir: 0.8009 0.8009 0.3235

=====

4.
# Al5Ag7
Computed powder diffraction line list, λ = 1.5418 Å (Cu Kα). Input: a GGA-PBE-relaxed structure.
No peak broadening, texture or thermal motion is included.

Peak list (6 most intense, 10° ≤ 2θ ≤ 90°, low angle first)
d (Å)  2θ/deg  I/Imax
8.366  10.57  28
2.468  36.40  62
2.354  38.23  57
2.314  38.92  100
2.073  43.66  37
2.030  44.64  67

Structural model:
a b c (Å): 4.9788 8.3658 5.2203
angles (deg): 90.00 108.98 90.00
Fractional positions:
Al: 0.0000 0.0000 0.0000
Al: 0.0000 0.1620 0.5000
Al: 0.0000 0.3343 0.0000
Al: 0.5000 0.3350 0.5000
Al: 0.5000 0.8236 0.0000
Ag: 0.0000 0.4795 0.5000
Ag: 0.0000 0.6745 0.0000
Ag: 0.0000 0.8397 0.5000
Ag: 0.5000 0.0075 0.5000
Ag: 0.5000 0.1558 0.0000
Ag: 0.5000 0.4940 0.0000
Ag: 0.5000 0.6627 0.5000

=====

5.
# NaInSeS
Computed powder diffraction line list, λ = 1.5418 Å (Cu Kα). Input: a GGA-PBE-relaxed structure.
No peak broadening, texture or thermal motion is included.

Peak list (6 most intense, 10° ≤ 2θ ≤ 90°, low angle first)
d (Å)  2θ/deg  I/Imax
7.476  11.84  100
3.643  24.43  83
3.084  28.96  80
2.422  37.12  27
2.132  42.41  55
2.050  44.18  24

Structural model:
a b c (Å): 4.2634 4.2634 7.8613
angles (deg): 105.54 105.54 59.99
Fractional positions:
Na: 0.0000 0.0000 0.0000
In: 0.4808 0.4808 0.4439
Se: 0.2016 0.2016 0.6089
S: 0.3759 0.3759 0.1293

=====

6.
# Cu2Sb2S5
Computed powder diffraction line list, λ = 1.5418 Å (Cu Kα). Input: a GGA-PBE-relaxed structure.
No peak broadening, texture or thermal motion is included.

Peak list (6 most intense, 10° ≤ 2θ ≤ 90°, low angle first)
d (Å)  2θ/deg  I/Imax
4.484  19.80  69
3.171  28.14  84
3.030  29.48  39
2.833  31.58  33
2.786  32.13  100
2.132  42.39  36

Structural model:
a b c (Å): 9.2429 9.2429 6.2028
angles (deg): 97.07 97.07 24.01
Fractional positions:
Cu: 0.1198 0.1198 0.3829
Cu: 0.8802 0.8802 0.6171
Sb: 0.4297 0.4297 0.1768
Sb: 0.5703 0.5703 0.8232
S: 0.0000 0.0000 0.5000
S: 0.1434 0.1434 0.0319
S: 0.3414 0.3414 0.4520
S: 0.6586 0.6586 0.5480
S: 0.8566 0.8566 0.9681

=====

7.
# Li3Sm2Pd3
Computed powder diffraction line list, λ = 1.5418 Å (Cu Kα). Input: a GGA-PBE-relaxed structure.
No peak broadening, texture or thermal motion is included.

Peak list (6 most intense, 10° ≤ 2θ ≤ 90°, low angle first)
d (Å)  2θ/deg  I/Imax
6.553  13.51  100
3.352  26.59  40
2.614  34.31  89
2.428  37.03  42
2.343  38.42  17
2.184  41.33  28

Structural model:
a b c (Å): 7.5670 7.5670 7.2302
angles (deg): 90.00 90.00 120.00
Fractional positions:
Li: 0.0000 0.2327 0.2500
Li: 0.0000 0.7673 0.7500
Li: 0.2327 0.0000 0.2500
Li: 0.2327 0.2327 0.7500
Li: 0.7673 0.0000 0.7500
Li: 0.7673 0.7673 0.2500
Sm: 0.3333 0.6667 0.0000
Sm: 0.3333 0.6667 0.5000
Sm: 0.6667 0.3333 0.0000
Sm: 0.6667 0.3333 0.5000
Pd: 0.0000 0.4065 0.7500
Pd: 0.0000 0.5935 0.2500
Pd: 0.4065 0.0000 0.7500
Pd: 0.4065 0.4065 0.2500
Pd: 0.5935 0.0000 0.2500
Pd: 0.5935 0.5935 0.7500

=====

8.
# Nd2SmY6Ho
Computed powder diffraction line list, λ = 1.5418 Å (Cu Kα). Input: a GGA-PBE-relaxed structure.
No peak broadening, texture or thermal motion is included.

Peak list (6 most intense, 10° ≤ 2θ ≤ 90°, low angle first)
d (Å)  2θ/deg  I/Imax
3.124  28.57  45
2.964  30.15  54
2.948  30.32  55
2.856  31.32  100
2.825  31.68  79
2.705  33.12  63

Structural model:
a b c (Å): 8.8080 8.8080 9.8107
angles (deg): 94.97 94.97 117.71
Fractional positions:
Nd: 0.1940 0.2932 0.0444
Nd: 0.2932 0.1940 0.5444
Nd: 0.7068 0.8060 0.4556
Nd: 0.8060 0.7068 0.9556
Sm: 0.0182 0.9818 0.2500
Sm: 0.9818 0.0182 0.7500
Y: 0.0185 0.5735 0.1858
Y: 0.1217 0.7430 0.5570
Y: 0.2570 0.8783 0.9430
Y: 0.2964 0.5063 0.3821
Y: 0.4265 0.9815 0.3142
Y: 0.4937 0.7036 0.1179
Y: 0.5063 0.2964 0.8821
Y: 0.5735 0.0185 0.6858
Y: 0.7036 0.4937 0.6179
Y: 0.7430 0.1217 0.0570
Y: 0.8783 0.2570 0.4430
Y: 0.9815 0.4265 0.8142
Ho: 0.4066 0.5934 0.7500
Ho: 0.5934 0.4066 0.2500

=====

9.
# SrPmAl
Computed powder diffraction line list, λ = 1.5418 Å (Cu Kα). Input: a GGA-PBE-relaxed structure.
No peak broadening, texture or thermal motion is included.

Peak list (6 most intense, 10° ≤ 2θ ≤ 90°, low angle first)
d (Å)  2θ/deg  I/Imax
4.529  19.60  27
3.225  27.66  100
2.615  34.30  57
2.537  35.38  27
2.031  44.62  27
1.604  57.46  26

Structural model:
a b c (Å): 5.2292 5.2292 9.1867
angles (deg): 90.00 90.00 120.00
Fractional positions:
Sr: 0.3333 0.6667 0.3402
Sr: 0.6667 0.3333 0.6598
Pm: 0.3333 0.6667 0.9116
Pm: 0.6667 0.3333 0.0884
Al: 0.0000 0.0000 0.1479
Al: 0.0000 0.0000 0.8521

=====

10.
# CdCoCu2N
Computed powder diffraction line list, λ = 1.5418 Å (Cu Kα). Input: a GGA-PBE-relaxed structure.
No peak broadening, texture or thermal motion is included.

Peak list (6 most intense, 10° ≤ 2θ ≤ 90°, low angle first)
d (Å)  2θ/deg  I/Imax
2.272  39.66  100
2.026  44.74  41
1.866  48.80  16
1.432  65.13  12
1.372  68.35  21
1.212  79.03  24

Structural model:
a b c (Å): 4.0511 4.0511 3.7321
angles (deg): 90.00 90.00 90.00
Fractional positions:
Cd: 0.0000 0.0000 0.0000
Co: 0.5000 0.5000 0.0000
Cu: 0.0000 0.5000 0.5000
Cu: 0.5000 0.0000 0.5000
N: 0.5000 0.5000 0.5000

=====

11.
# UAg4S4
Computed powder diffraction line list, λ = 1.5418 Å (Cu Kα). Input: a GGA-PBE-relaxed structure.
No peak broadening, texture or thermal motion is included.

Peak list (6 most intense, 10° ≤ 2θ ≤ 90°, low angle first)
d (Å)  2θ/deg  I/Imax
7.675  11.53  58
6.553  13.51  52
3.144  28.39  100
2.832  31.60  96
2.428  37.02  62
2.137  42.30  53

Structural model:
a b c (Å): 6.9590 6.9590 9.2905
angles (deg): 122.67 122.67 33.37
Fractional positions:
U: 0.0000 0.0000 0.0000
Ag: 0.1953 0.1953 0.8427
Ag: 0.3418 0.3418 0.6067
Ag: 0.6582 0.6582 0.3933
Ag: 0.8047 0.8047 0.1573
S: 0.2356 0.2356 0.2769
S: 0.4415 0.4415 0.1429
S: 0.5585 0.5585 0.8571
S: 0.7644 0.7644 0.7231

=====

12.
# LiScPd14
Computed powder diffraction line list, λ = 1.5418 Å (Cu Kα). Input: a GGA-PBE-relaxed structure.
No peak broadening, texture or thermal motion is included.

Peak list (6 most intense, 10° ≤ 2θ ≤ 90°, low angle first)
d (Å)  2θ/deg  I/Imax
7.906  11.19  5
2.281  39.50  100
1.976  45.94  48
1.397  66.99  30
1.191  80.65  36
1.141  85.05  11

Structural model:
a b c (Å): 5.5862 5.5862 7.9061
angles (deg): 90.00 90.00 90.00
Fractional positions:
Li: 0.0000 0.0000 0.0000
Sc: 0.5000 0.5000 0.0000
Pd: 0.0000 0.0000 0.5000
Pd: 0.0000 0.5000 0.0000
Pd: 0.0000 0.5000 0.5000
Pd: 0.2492 0.2492 0.2476
Pd: 0.2492 0.2492 0.7524
Pd: 0.2492 0.7508 0.2476
Pd: 0.2492 0.7508 0.7524
Pd: 0.5000 0.0000 0.0000
Pd: 0.5000 0.0000 0.5000
Pd: 0.5000 0.5000 0.5000
Pd: 0.7508 0.2492 0.2476
Pd: 0.7508 0.2492 0.7524
Pd: 0.7508 0.7508 0.2476
Pd: 0.7508 0.7508 0.7524

=====

What did the second record say?
# LiPr2SnPd6
Computed powder diffraction line list, λ = 1.5418 Å (Cu Kα). Input: a GGA-PBE-relaxed structure.
No peak broadening, texture or thermal motion is included.

Peak list (6 most intense, 10° ≤ 2θ ≤ 90°, low angle first)
d (Å)  2θ/deg  I/Imax
2.523  35.58  49
2.513  35.73  62
2.386  37.70  98
2.275  39.62  100
2.231  40.43  63
2.170  41.62  57

Structural model:
a b c (Å): 5.6017 6.5177 6.6987
angles (deg): 72.02 65.34 64.62
Fractional positions:
Li: 0.0000 0.0000 0.0000
Pr: 0.4994 0.2463 0.7564
Pr: 0.5006 0.7537 0.2436
Sn: 0.0000 0.5000 0.5000
Pd: 0.0031 0.8085 0.6948
Pd: 0.1826 0.5765 0.0591
Pd: 0.4936 0.8083 0.6946
Pd: 0.5064 0.1917 0.3054
Pd: 0.8174 0.4235 0.9409
Pd: 0.9969 0.1915 0.3052

=====

Repeat the seventh record exactly.
# Li3Sm2Pd3
Computed powder diffraction line list, λ = 1.5418 Å (Cu Kα). Input: a GGA-PBE-relaxed structure.
No peak broadening, texture or thermal motion is included.

Peak list (6 most intense, 10° ≤ 2θ ≤ 90°, low angle first)
d (Å)  2θ/deg  I/Imax
6.553  13.51  100
3.352  26.59  40
2.614  34.31  89
2.428  37.03  42
2.343  38.42  17
2.184  41.33  28

Structural model:
a b c (Å): 7.5670 7.5670 7.2302
angles (deg): 90.00 90.00 120.00
Fractional positions:
Li: 0.0000 0.2327 0.2500
Li: 0.0000 0.7673 0.7500
Li: 0.2327 0.0000 0.2500
Li: 0.2327 0.2327 0.7500
Li: 0.7673 0.0000 0.7500
Li: 0.7673 0.7673 0.2500
Sm: 0.3333 0.6667 0.0000
Sm: 0.3333 0.6667 0.5000
Sm: 0.6667 0.3333 0.0000
Sm: 0.6667 0.3333 0.5000
Pd: 0.0000 0.4065 0.7500
Pd: 0.0000 0.5935 0.2500
Pd: 0.4065 0.0000 0.7500
Pd: 0.4065 0.4065 0.2500
Pd: 0.5935 0.0000 0.2500
Pd: 0.5935 0.5935 0.7500